[1]
The following is a theoretical powder diffractogram of Cu4IBr3. It was derived from a structure optimized by DFT (PBE), using Cu Kα.
Intensities are scaled so that the largest is 100.

```
Cu4IBr3
1.0
1.940 1.120 12.562
-1.940 1.120 12.562
0.000 -2.240 12.562
Cu I Br
4 1 3
Cartesian
0.000 0.000 4.673
0.000 0.000 14.127
0.000 0.000 23.560
0.000 0.000 33.014
0.000 0.000 18.844
0.000 0.000 0.000
0.000 0.000 9.492
0.000 0.000 28.195
```

Most intense lines, 10 to 90 degrees two-theta, most intense first:
32.73 deg, d = 2.736 Å, I = 100; 46.82 deg, d = 1.940 Å, I = 36; 47.12 deg, d = 1.929 Å, I = 35; 58.30 deg, d = 1.583 Å, I = 18; 77.89 deg, d = 1.226 Å, I = 15; 78.33 deg, d = 1.221 Å, I = 14


[2]
The following is a theoretical powder diffractogram of U6Ni. It was derived from a structure optimized by DFT (PBE), using Cu Kα.
Intensities are scaled so that the largest is 100.

```
U6Ni
1.0
-5.148 5.148 2.556
5.148 -5.148 2.556
5.148 5.148 -2.556
U Ni
12 2
Cartesian
6.113 0.965 0.000
2.242 1.083 0.000
4.065 -2.906 2.556
4.065 2.906 0.000
2.242 -1.083 2.556
0.965 4.182 0.000
4.182 0.965 2.556
2.906 6.231 0.000
1.083 2.242 2.556
1.083 8.053 0.000
2.906 4.065 2.556
-0.965 4.182 2.556
0.000 0.000 1.278
0.000 0.000 3.833
```

Most intense lines, 10 to 90 degrees two-theta, most intense first:
36.03 deg, d = 2.493 Å, I = 100; 35.12 deg, d = 2.556 Å, I = 26; 63.60 deg, d = 1.463 Å, I = 20; 82.19 deg, d = 1.173 Å, I = 16; 44.89 deg, d = 2.019 Å, I = 13; 75.09 deg, d = 1.265 Å, I = 12


[3]
The following is a theoretical powder diffractogram of NbCo3. It was derived from a structure optimized by DFT (PBE), using Cu Kα.
Intensities are scaled so that the largest is 100.

```
NbCo3
1.0
5.201 0.000 0.000
-2.601 4.505 0.000
0.000 0.000 4.161
Nb Co
2 6
Cartesian
0.000 3.003 1.040
2.601 1.502 3.121
0.000 1.419 3.121
-1.372 3.795 3.121
1.228 0.709 1.040
1.372 3.795 3.121
3.973 0.709 1.040
2.601 3.086 1.040
```

Most intense lines, 10 to 90 degrees two-theta, most intense first:
45.81 deg, d = 1.981 Å, I = 100; 43.50 deg, d = 2.080 Å, I = 26; 40.03 deg, d = 2.252 Å, I = 25; 88.72 deg, d = 1.103 Å, I = 17; 81.50 deg, d = 1.181 Å, I = 17; 72.72 deg, d = 1.300 Å, I = 15